No. 1
Starting from a structure optimized by DFT (PBE), the X-ray diffraction stick pattern of AcZnCuAu6 was computed for a wavelength of 1.5418 Å.

Structural model:
a b c (Å): 9.127 9.127 9.127
angles (deg): 136.44 122.63 74.70
Positions (direct):
Ac (0.344, 0.094, 0.250)
Ac (0.656, 0.906, 0.750)
Zn (0.000, 0.500, 0.500)
Zn (0.500, 0.500, 0.000)
Cu (0.000, 0.000, 0.500)
Cu (0.000, 0.500, 0.000)
Au (0.134, 0.433, 0.268)
Au (0.134, 0.865, 0.700)
Au (0.134, 0.884, 0.250)
Au (0.335, 0.135, 0.768)
Au (0.335, 0.567, 0.200)
Au (0.365, 0.615, 0.750)
Au (0.635, 0.385, 0.250)
Au (0.665, 0.433, 0.800)
Au (0.665, 0.865, 0.232)
Au (0.866, 0.116, 0.750)
Au (0.866, 0.135, 0.300)
Au (0.866, 0.567, 0.732)

Largest 8 diffraction maxima, sorted by position, 10° ≤ 2θ ≤ 90°:
2θ (°)	Rel. int.
24.54	68
24.97	30
33.44	81
41.21	36
41.92	100
42.71	36
48.55	21
75.63	25


No. 2
Starting from a structure optimized by DFT (PBE), the X-ray diffraction stick pattern of AcZn2CuAu5 was computed for a wavelength of 1.5418 Å.

Structural model:
a b c (Å): 5.004 5.004 7.509
angles (deg): 90.00 90.00 90.00
Positions (direct):
Ac (0.000, 0.000, 0.000)
Zn (0.500, 0.500, 0.336)
Zn (0.500, 0.500, 0.664)
Cu (0.000, 0.000, 0.500)
Au (0.000, 0.500, 0.305)
Au (0.000, 0.500, 0.695)
Au (0.500, 0.000, 0.305)
Au (0.500, 0.000, 0.695)
Au (0.500, 0.500, 0.000)

Largest 8 diffraction maxima, sorted by position, 10° ≤ 2θ ≤ 90°:
2θ (°)	Rel. int.
27.87	41
34.84	85
35.89	100
51.66	63
63.83	30
64.50	19
67.79	14
87.09	27


No. 3
Starting from a structure optimized by DFT (PBE), the X-ray diffraction stick pattern of Ac2Dy12Au7 was computed for a wavelength of 1.5418 Å.

Structural model:
a b c (Å): 11.796 11.796 4.916
angles (deg): 90.00 90.00 120.00
Positions (direct):
Ac (0.000, 0.000, 0.000)
Ac (0.333, 0.667, 0.500)
Dy (0.051, 0.267, 0.500)
Dy (0.111, 0.703, 0.000)
Dy (0.216, 0.949, 0.500)
Dy (0.297, 0.408, 0.000)
Dy (0.388, 0.180, 0.000)
Dy (0.550, 0.436, 0.500)
Dy (0.564, 0.114, 0.500)
Dy (0.592, 0.889, 0.000)
Dy (0.733, 0.784, 0.500)
Dy (0.792, 0.612, 0.000)
Dy (0.820, 0.208, 0.000)
Dy (0.886, 0.450, 0.500)
Au (0.073, 0.442, 0.000)
Au (0.272, 0.226, 0.500)
Au (0.369, 0.927, 0.000)
Au (0.558, 0.631, 0.000)
Au (0.667, 0.333, 0.000)
Au (0.774, 0.047, 0.500)
Au (0.953, 0.728, 0.500)

Largest 8 diffraction maxima, sorted by position, 10° ≤ 2θ ≤ 90°:
2θ (°)	Rel. int.
29.42	100
35.14	12
36.58	60
40.47	30
42.74	19
55.66	24
61.47	13
66.88	13


No. 4
Starting from a structure optimized by DFT (PBE), the X-ray diffraction stick pattern of Ac2DyGa3Au4 was computed for a wavelength of 1.5418 Å.

Structural model:
a b c (Å): 4.547 4.547 11.580
angles (deg): 90.00 90.00 90.00
Positions (direct):
Ac (0.000, 0.500, 0.225)
Ac (0.500, 0.000, 0.775)
Dy (0.000, 0.000, 0.500)
Ga (0.000, 0.500, 0.879)
Ga (0.500, 0.000, 0.121)
Ga (0.500, 0.500, 0.500)
Au (0.000, 0.000, 0.000)
Au (0.000, 0.500, 0.655)
Au (0.500, 0.000, 0.345)
Au (0.500, 0.500, 0.000)

Largest 8 diffraction maxima, sorted by position, 10° ≤ 2θ ≤ 90°:
2θ (°)	Rel. int.
24.90	18
30.38	29
31.84	100
39.64	52
42.00	17
43.87	19
57.31	18
67.07	24


No. 5
Starting from a structure optimized by DFT (PBE), the X-ray diffraction stick pattern of AcDyGa2Au5 was computed for a wavelength of 1.5418 Å.

Structural model:
a b c (Å): 4.879 4.879 8.493
angles (deg): 90.00 90.00 90.00
Positions (direct):
Ac (0.000, 0.000, 0.000)
Dy (0.000, 0.000, 0.500)
Ga (0.500, 0.500, 0.351)
Ga (0.500, 0.500, 0.649)
Au (0.000, 0.500, 0.260)
Au (0.000, 0.500, 0.740)
Au (0.500, 0.000, 0.260)
Au (0.500, 0.000, 0.740)
Au (0.500, 0.500, 0.000)

Largest 8 diffraction maxima, sorted by position, 10° ≤ 2θ ≤ 90°:
2θ (°)	Rel. int.
33.47	100
36.85	51
42.58	11
53.10	18
57.55	19
64.23	31
70.31	11
72.13	13


No. 6
Starting from a structure optimized by DFT (PBE), the X-ray diffraction stick pattern of LiAcDy2Au4 was computed for a wavelength of 1.5418 Å.

Structural model:
a b c (Å): 9.357 9.357 9.357
angles (deg): 31.09 31.09 31.09
Positions (direct):
Li (0.000, 0.000, 0.000)
Ac (0.500, 0.500, 0.500)
Dy (0.268, 0.268, 0.268)
Dy (0.732, 0.732, 0.732)
Au (0.102, 0.102, 0.102)
Au (0.379, 0.379, 0.379)
Au (0.621, 0.621, 0.621)
Au (0.898, 0.898, 0.898)

Largest 8 diffraction maxima, sorted by position, 10° ≤ 2θ ≤ 90°:
2θ (°)	Rel. int.
26.45	27
33.88	61
35.81	100
39.63	14
47.48	12
50.12	20
63.11	21
64.34	19


No. 7
Starting from a structure optimized by DFT (PBE), the X-ray diffraction stick pattern of AcEr2Au was computed for a wavelength of 1.5418 Å.

Structural model:
a b c (Å): 4.778 4.778 5.118
angles (deg): 90.00 90.00 90.00
Positions (direct):
Ac (0.000, 0.000, 0.000)
Er (0.000, 0.500, 0.500)
Er (0.500, 0.000, 0.500)
Au (0.500, 0.500, 0.000)

Largest 8 diffraction maxima, sorted by position, 10° ≤ 2θ ≤ 90°:
2θ (°)	Rel. int.
31.73	100
35.07	19
37.65	32
52.39	25
60.83	16
64.28	27
66.30	12
85.93	13


No. 8
Starting from a structure optimized by DFT (PBE), the X-ray diffraction stick pattern of AcErGa2Au5 was computed for a wavelength of 1.5418 Å.

Structural model:
a b c (Å): 4.916 4.916 8.348
angles (deg): 90.00 90.00 90.00
Positions (direct):
Ac (0.000, 0.000, 0.000)
Er (0.000, 0.000, 0.500)
Ga (0.500, 0.500, 0.347)
Ga (0.500, 0.500, 0.653)
Au (0.000, 0.500, 0.264)
Au (0.000, 0.500, 0.736)
Au (0.500, 0.000, 0.264)
Au (0.500, 0.000, 0.736)
Au (0.500, 0.500, 0.000)

Largest 8 diffraction maxima, sorted by position, 10° ≤ 2θ ≤ 90°:
2θ (°)	Rel. int.
33.55	100
36.56	54
43.36	11
52.66	19
57.97	18
63.90	32
70.51	10
73.28	12